Diffraction record for LiSi6Bi9O26. The powder X-ray diffraction pattern is computed, not measured: it uses a structure optimized by DFT (GGA-PBE) and copper Kα.
Neutral-atom scattering factors, no anomalous dispersion.

Top 12 peaks for 10° ≤ 2θ ≤ 80°, low angle first:
(hkl)	2θ/deg	d (Å)	I (rel.)
2 0 0	21.13	4.204	293
2 -1 1	22.20	4.004	386
0 1 2	27.33	3.264	406
2 1 0	28.08	3.178	391
2 1 1	30.84	2.899	1000
1 1 2	31.27	2.861	441
3 0 0	31.93	2.802	201
2 2 2	45.30	2.002	239
3 -2 3	48.01	1.895	334
5 -3 1	48.94	1.861	167
1 4 0	49.69	1.835	239
0 4 2	50.50	1.807	292

Cell and atoms:
```
42
Lattice="9.7081 0.0000 0.0000 -4.8540 8.4075 0.0000 0.0000 0.0000 7.0825" Properties=species:S:1:pos:R:3 pbc="T T T"
Li 0.0000 0.0000 0.0000
Si -3.1688 6.2309 5.1950
Si -1.0954 2.9862 1.6250
Si 1.0424 2.5477 5.1950
Si -1.7202 7.8630 1.6250
Si 2.8156 5.9657 1.6250
Si 2.1264 8.0363 5.1950
Bi 0.0000 0.0000 3.2473
Bi 0.0000 5.6050 3.4195
Bi 0.0000 5.6050 6.8709
Bi 3.5845 0.9150 5.0837
Bi 2.5837 2.9013 1.5187
Bi 5.9036 0.7869 1.5187
Bi 3.8542 4.8457 5.0837
Bi 7.1235 2.6467 5.0837
Bi 6.0748 4.7192 1.5187
O -1.9102 3.6470 0.3342
O -0.3582 1.7284 5.2859
O -3.1782 7.8534 5.2859
O -1.6170 5.6526 5.1383
O 1.6367 0.0784 1.5783
O -1.6939 6.2047 1.7043
O 0.3276 3.8382 1.7043
O 1.8926 1.9761 3.8807
O 0.7673 4.1808 5.1383
O 2.1496 2.2484 6.3949
O -0.7405 8.2383 0.3342
O 4.0477 0.0357 2.8881
O 0.8497 6.9816 5.1383
O 1.3663 6.7721 1.7043
O 2.6508 4.9296 0.3342
O 2.8611 4.8842 2.8881
O 4.8541 2.8025 1.2249
O 4.8541 2.8025 4.7380
O 6.6861 0.7374 6.3949
O 7.0504 0.6510 3.8807
O 3.5363 7.2331 5.2859
O 4.1036 6.9509 1.5783
O 5.7265 5.4217 6.3949
O 5.6191 5.7803 3.8807
O 8.8219 1.3782 1.5783
O 7.6533 3.4876 2.8881
```